Diffraction record for CaSi2Au9. The X-ray diffraction stick pattern is simulated, not measured: it uses a PBE-relaxed structure and copper Kα.

Cell: 8.809 8.809 8.809 Å, 99.02 99.02 133.34°
Fractional positions:
Ca: 0.375 0.625 0.750
Ca: 0.625 0.375 0.250
Si: 0.000 0.000 0.000
Si: 0.000 0.000 0.500
Si: 0.000 0.500 0.000
Si: 0.500 0.000 0.500
Au: 0.099 0.544 0.310
Au: 0.099 0.789 0.555
Au: 0.125 0.875 0.250
Au: 0.211 0.266 0.310
Au: 0.211 0.901 0.945
Au: 0.266 0.211 0.810
Au: 0.266 0.456 0.055
Au: 0.456 0.266 0.555
Au: 0.456 0.901 0.190
Au: 0.544 0.099 0.810
Au: 0.544 0.734 0.445
Au: 0.734 0.544 0.945
Au: 0.734 0.789 0.190
Au: 0.789 0.099 0.055
Au: 0.789 0.734 0.690
Au: 0.875 0.125 0.750
Au: 0.901 0.211 0.445
Au: 0.901 0.456 0.690

Largest 12 diffraction maxima, in order of rising 2θ, 2θ from 10° to 80°:
2θ 15.49, d = 5.719 Å, I 15; 2θ 21.54, d = 4.125 Å, I 32; 2θ 31.28, d = 2.860 Å, I 15; 2θ 35.08, d = 2.558 Å, I 37; 2θ 35.76, d = 2.511 Å, I 100; 2θ 41.54, d = 2.174 Å, I 90; 2θ 42.37, d = 2.133 Å, I 16; 2θ 42.71, d = 2.117 Å, I 20; 2θ 45.70, d = 1.985 Å, I 12; 2θ 63.38, d = 1.468 Å, I 15; 2θ 67.35, d = 1.390 Å, I 11; 2θ 72.54, d = 1.303 Å, I 16

---

Diffraction record for Ca2Si2Au5. The X-ray diffraction stick pattern is simulated, not measured: it uses a PBE-relaxed structure and copper Kα.

Cell: 4.541 4.541 8.712 Å, 90.00 90.00 90.00°
Fractional positions:
Ca: 0.000 0.000 0.000
Ca: 0.000 0.000 0.500
Si: 0.500 0.500 0.138
Si: 0.500 0.500 0.862
Au: 0.000 0.500 0.260
Au: 0.000 0.500 0.740
Au: 0.500 0.000 0.260
Au: 0.500 0.000 0.740
Au: 0.500 0.500 0.500

Largest 12 diffraction maxima, in order of rising 2θ, 2θ from 10° to 80°:
2θ 10.15, d = 8.712 Å, I 16; 2θ 20.39, d = 4.356 Å, I 21; 2θ 27.79, d = 3.211 Å, I 16; 2θ 34.71, d = 2.585 Å, I 100; 2θ 39.70, d = 2.270 Å, I 40; 2θ 41.46, d = 2.178 Å, I 14; 2θ 45.03, d = 2.013 Å, I 12; 2θ 57.40, d = 1.605 Å, I 14; 2θ 58.75, d = 1.572 Å, I 20; 2θ 68.85, d = 1.364 Å, I 28; 2θ 71.28, d = 1.323 Å, I 13; 2θ 73.25, d = 1.292 Å, I 10

---

Diffraction record for Ca3ZnSi2Au9. The X-ray diffraction stick pattern is simulated, not measured: it uses a PBE-relaxed structure and copper Kα.

Cell: 6.571 6.571 9.346 Å, 90.00 90.00 120.00°
Fractional positions:
Ca: 0.000 0.000 0.000
Ca: 0.333 0.667 0.705
Ca: 0.667 0.333 0.295
Zn: 0.000 0.000 0.500
Si: 0.333 0.667 0.173
Si: 0.667 0.333 0.827
Au: 0.000 0.500 0.000
Au: 0.146 0.293 0.291
Au: 0.146 0.854 0.291
Au: 0.293 0.146 0.709
Au: 0.500 0.000 0.000
Au: 0.500 0.500 0.000
Au: 0.707 0.854 0.291
Au: 0.854 0.146 0.709
Au: 0.854 0.707 0.709

Largest 12 diffraction maxima, in order of rising 2θ, 2θ from 10° to 80°:
2θ 18.25, d = 4.861 Å, I 43; 2θ 24.65, d = 3.611 Å, I 18; 2θ 28.66, d = 3.115 Å, I 33; 2θ 32.90, d = 2.722 Å, I 100; 2θ 36.99, d = 2.430 Å, I 95; 2θ 38.53, d = 2.336 Å, I 14; 2θ 43.05, d = 2.101 Å, I 20; 2θ 43.16, d = 2.096 Å, I 17; 2θ 50.55, d = 1.806 Å, I 22; 2θ 55.97, d = 1.643 Å, I 26; 2θ 59.14, d = 1.562 Å, I 18; 2θ 64.08, d = 1.453 Å, I 16

---

Diffraction record for CaSm3Au4. The X-ray diffraction stick pattern is simulated, not measured: it uses a PBE-relaxed structure and copper Kα.

Cell: 6.344 6.344 6.344 Å, 109.47 109.47 109.47°
Fractional positions:
Ca: 0.000 0.000 0.000
Sm: 0.000 0.500 0.500
Sm: 0.500 0.000 0.500
Sm: 0.500 0.500 0.000
Au: 0.000 0.000 0.500
Au: 0.000 0.500 0.000
Au: 0.500 0.000 0.000
Au: 0.500 0.500 0.500

Largest 12 diffraction maxima, in order of rising 2θ, 2θ from 10° to 80°:
2θ 17.12, d = 5.180 Å, I 4; 2θ 24.30, d = 3.663 Å, I 6; 2θ 29.88, d = 2.990 Å, I 2; 2θ 34.64, d = 2.590 Å, I 100; 2θ 38.88, d = 2.316 Å, I 1; 2θ 42.76, d = 2.115 Å, I 2; 2θ 46.38, d = 1.958 Å, I 1; 2θ 49.79, d = 1.831 Å, I 18; 2θ 56.15, d = 1.638 Å, I 3; 2θ 62.07, d = 1.495 Å, I 37; 2θ 73.07, d = 1.295 Å, I 12; 2θ 78.32, d = 1.221 Å, I 2

---

Diffraction record for CaSm2Au6. The X-ray diffraction stick pattern is simulated, not measured: it uses a PBE-relaxed structure and copper Kα.

Cell: 8.224 8.224 3.539 Å, 90.00 90.00 120.00°
Fractional positions:
Ca: 0.000 0.000 0.000
Sm: 0.333 0.667 0.000
Sm: 0.667 0.333 0.000
Au: 0.000 0.333 0.500
Au: 0.000 0.667 0.500
Au: 0.333 0.000 0.500
Au: 0.333 0.333 0.500
Au: 0.667 0.000 0.500
Au: 0.667 0.667 0.500

Largest 12 diffraction maxima, in order of rising 2θ, 2θ from 10° to 80°:
2θ 12.43, d = 7.122 Å, I 6; 2θ 21.61, d = 4.112 Å, I 10; 2θ 25.17, d = 3.539 Å, I 27; 2θ 33.41, d = 2.682 Å, I 100; 2θ 37.90, d = 2.374 Å, I 95; 2θ 46.04, d = 1.971 Å, I 35; 2θ 51.40, d = 1.778 Å, I 30; 2θ 51.66, d = 1.769 Å, I 13; 2θ 65.61, d = 1.423 Å, I 29; 2θ 65.83, d = 1.419 Å, I 38; 2θ 68.45, d = 1.371 Å, I 17; 2θ 74.19, d = 1.278 Å, I 9

---

Diffraction record for Ca3SnAu4. The X-ray diffraction stick pattern is simulated, not measured: it uses a PBE-relaxed structure and copper Kα.

Cell: 8.807 8.807 8.807 Å, 33.52 33.52 33.52°
Fractional positions:
Ca: 0.000 0.000 0.000
Ca: 0.245 0.245 0.245
Ca: 0.755 0.755 0.755
Sn: 0.500 0.500 0.500
Au: 0.122 0.122 0.122
Au: 0.372 0.372 0.372
Au: 0.628 0.628 0.628
Au: 0.878 0.878 0.878

Largest 12 diffraction maxima, in order of rising 2θ, 2θ from 10° to 80°:
2θ 21.42, d = 4.148 Å, I 1; 2θ 24.78, d = 3.593 Å, I 33; 2θ 27.04, d = 3.297 Å, I 1; 2θ 32.36, d = 2.767 Å, I 2; 2θ 35.33, d = 2.540 Å, I 100; 2θ 41.69, d = 2.166 Å, I 1; 2θ 43.64, d = 2.074 Å, I 10; 2θ 50.83, d = 1.796 Å, I 18; 2θ 57.35, d = 1.607 Å, I 14; 2θ 63.42, d = 1.467 Å, I 36; 2θ 67.37, d = 1.390 Å, I 1; 2θ 74.74, d = 1.270 Å, I 11

---

Diffraction record for CaSn2Au5. The X-ray diffraction stick pattern is simulated, not measured: it uses a PBE-relaxed structure and copper Kα.

Cell: 7.480 7.480 7.480 Å, 148.64 122.85 66.65°
Fractional positions:
Ca: 0.000 0.000 0.000
Sn: 0.260 0.760 0.500
Sn: 0.740 0.240 0.500
Au: 0.170 0.384 0.786
Au: 0.402 0.616 0.786
Au: 0.500 0.000 0.500
Au: 0.598 0.384 0.214
Au: 0.830 0.616 0.214

Largest 12 diffraction maxima, in order of rising 2θ, 2θ from 10° to 80°:
2θ 14.26, d = 6.212 Å, I 59; 2θ 23.12, d = 3.847 Å, I 24; 2θ 30.82, d = 2.902 Å, I 44; 2θ 34.23, d = 2.620 Å, I 100; 2θ 38.24, d = 2.354 Å, I 82; 2θ 38.52, d = 2.337 Å, I 37; 2θ 42.52, d = 2.126 Å, I 46; 2θ 44.08, d = 2.054 Å, I 32; 2θ 44.83, d = 2.022 Å, I 31; 2θ 60.36, d = 1.534 Å, I 44; 2θ 76.99, d = 1.239 Å, I 19; 2θ 77.40, d = 1.233 Å, I 18

---

Diffraction record for Ca2SnAu3. The X-ray diffraction stick pattern is simulated, not measured: it uses a PBE-relaxed structure and copper Kα.

Cell: 9.574 9.052 5.990 Å, 76.04 66.57 37.39°
Fractional positions:
Ca: 0.238 0.762 0.762
Ca: 0.250 0.250 0.250
Ca: 0.750 0.750 0.750
Ca: 0.762 0.238 0.238
Sn: 0.334 0.334 0.666
Sn: 0.666 0.666 0.334
Au: 0.168 0.168 0.832
Au: 0.169 0.664 0.336
Au: 0.336 0.831 0.169
Au: 0.664 0.169 0.831
Au: 0.831 0.336 0.664
Au: 0.832 0.832 0.168

Largest 12 diffraction maxima, in order of rising 2θ, 2θ from 10° to 80°:
2θ 21.45, d = 4.142 Å, I 46; 2θ 24.61, d = 3.617 Å, I 61; 2θ 32.88, d = 2.724 Å, I 88; 2θ 37.61, d = 2.391 Å, I 100; 2θ 45.47, d = 1.995 Å, I 75; 2θ 50.47, d = 1.808 Å, I 15; 2θ 50.73, d = 1.799 Å, I 9; 2θ 50.83, d = 1.796 Å, I 17; 2θ 64.62, d = 1.442 Å, I 41; 2θ 64.85, d = 1.438 Å, I 16; 2θ 67.95, d = 1.380 Å, I 12; 2θ 73.46, d = 1.289 Å, I 13

---

Diffraction record for Ca4Sn5Au6. The X-ray diffraction stick pattern is simulated, not measured: it uses a PBE-relaxed structure and copper Kα.

Cell: 11.085 11.085 15.350 Å, 90.00 90.00 156.60°
Fractional positions:
Ca: 0.025 0.975 0.500
Ca: 0.048 0.952 0.770
Ca: 0.152 0.848 0.286
Ca: 0.176 0.824 0.944
Ca: 0.824 0.176 0.444
Ca: 0.848 0.152 0.786
Ca: 0.952 0.048 0.270
Ca: 0.975 0.025 0.000
Sn: 0.166 0.834 0.616
Sn: 0.321 0.679 0.605
Sn: 0.325 0.675 0.288
Sn: 0.348 0.652 0.954
Sn: 0.465 0.535 0.662
Sn: 0.535 0.465 0.162
Sn: 0.652 0.348 0.454
Sn: 0.675 0.325 0.788
Sn: 0.679 0.321 0.105
Sn: 0.834 0.166 0.116
Au: 0.099 0.901 0.106
Au: 0.232 0.768 0.459
Au: 0.249 0.751 0.757
Au: 0.410 0.590 0.126
Au: 0.428 0.572 0.413
Au: 0.450 0.550 0.845
Au: 0.550 0.450 0.345
Au: 0.572 0.428 0.913
Au: 0.590 0.410 0.626
Au: 0.751 0.249 0.257
Au: 0.768 0.232 0.959
Au: 0.901 0.099 0.606

Largest 12 diffraction maxima, in order of rising 2θ, 2θ from 10° to 80°:
2θ 20.17, d = 4.403 Å, I 29; 2θ 24.01, d = 3.706 Å, I 41; 2θ 24.61, d = 3.618 Å, I 34; 2θ 28.49, d = 3.133 Å, I 20; 2θ 29.18, d = 3.061 Å, I 20; 2θ 30.91, d = 2.893 Å, I 28; 2θ 33.61, d = 2.666 Å, I 100; 2θ 35.08, d = 2.558 Å, I 25; 2θ 39.45, d = 2.284 Å, I 59; 2θ 40.11, d = 2.248 Å, I 49; 2θ 42.53, d = 2.126 Å, I 20; 2θ 47.83, d = 1.902 Å, I 33

---

Diffraction record for Ca2SnAu10. The X-ray diffraction stick pattern is simulated, not measured: it uses a PBE-relaxed structure and copper Kα.

Cell: 5.371 5.631 18.082 Å, 90.00 99.48 90.00°
Fractional positions:
Ca: 0.204 0.116 0.367
Ca: 0.204 0.384 0.867
Ca: 0.796 0.616 0.133
Ca: 0.796 0.884 0.633
Sn: 0.000 0.000 0.000
Sn: 0.000 0.500 0.500
Au: 0.127 0.619 0.293
Au: 0.127 0.881 0.793
Au: 0.248 0.559 0.036
Au: 0.248 0.941 0.536
Au: 0.314 0.635 0.673
Au: 0.314 0.865 0.173
Au: 0.329 0.142 0.685
Au: 0.329 0.358 0.185
Au: 0.455 0.633 0.433
Au: 0.455 0.867 0.933
Au: 0.545 0.133 0.067
Au: 0.545 0.367 0.567
Au: 0.671 0.642 0.815
Au: 0.671 0.858 0.315
Au: 0.686 0.135 0.827
Au: 0.686 0.365 0.327
Au: 0.752 0.059 0.464
Au: 0.752 0.441 0.964
Au: 0.873 0.119 0.207
Au: 0.873 0.381 0.707

Largest 12 diffraction maxima, in order of rising 2θ, 2θ from 10° to 80°:
2θ 20.87, d = 4.257 Å, I 23; 2θ 23.02, d = 3.863 Å, I 28; 2θ 36.09, d = 2.488 Å, I 22; 2θ 36.29, d = 2.475 Å, I 43; 2θ 36.49, d = 2.462 Å, I 27; 2θ 38.14, d = 2.359 Å, I 100; 2θ 38.34, d = 2.347 Å, I 21; 2θ 38.64, d = 2.330 Å, I 24; 2θ 40.43, d = 2.231 Å, I 42; 2θ 40.83, d = 2.210 Å, I 31; 2θ 41.27, d = 2.188 Å, I 32; 2θ 46.09, d = 1.969 Å, I 24

---

Diffraction record for Ca3Zn2SnAu9. The X-ray diffraction stick pattern is simulated, not measured: it uses a PBE-relaxed structure and copper Kα.

Cell: 8.061 8.061 6.571 Å, 90.00 90.00 120.00°
Fractional positions:
Ca: 0.000 0.000 0.000
Ca: 0.333 0.667 0.655
Ca: 0.667 0.333 0.345
Zn: 0.333 0.667 0.146
Zn: 0.667 0.333 0.854
Sn: 0.000 0.000 0.500
Au: 0.000 0.500 0.000
Au: 0.171 0.342 0.310
Au: 0.171 0.829 0.310
Au: 0.342 0.171 0.690
Au: 0.500 0.000 0.000
Au: 0.500 0.500 0.000
Au: 0.658 0.829 0.310
Au: 0.829 0.171 0.690
Au: 0.829 0.658 0.690

Largest 12 diffraction maxima, in order of rising 2θ, 2θ from 10° to 80°:
2θ 18.54, d = 4.785 Å, I 57; 2θ 28.97, d = 3.083 Å, I 100; 2θ 36.70, d = 2.449 Å, I 21; 2θ 37.60, d = 2.392 Å, I 86; 2θ 44.98, d = 2.015 Å, I 53; 2θ 49.07, d = 1.857 Å, I 13; 2θ 54.39, d = 1.687 Å, I 18; 2θ 60.02, d = 1.541 Å, I 22; 2θ 62.49, d = 1.486 Å, I 17; 2θ 62.64, d = 1.483 Å, I 20; 2θ 73.17, d = 1.293 Å, I 15; 2θ 78.05, d = 1.224 Å, I 21

---

Diffraction record for Ca3Zn2Sn2Au4. The X-ray diffraction stick pattern is simulated, not measured: it uses a PBE-relaxed structure and copper Kα.

Cell: 4.668 4.668 13.876 Å, 90.00 90.00 120.00°
Fractional positions:
Ca: 0.000 0.000 0.000
Ca: 0.000 0.000 0.262
Ca: 0.000 0.000 0.738
Zn: 0.333 0.667 0.139
Zn: 0.667 0.333 0.861
Sn: 0.333 0.667 0.583
Sn: 0.667 0.333 0.417
Au: 0.333 0.667 0.374
Au: 0.333 0.667 0.871
Au: 0.667 0.333 0.129
Au: 0.667 0.333 0.626

Largest 12 diffraction maxima, in order of rising 2θ, 2θ from 10° to 80°:
2θ 21.98, d = 4.043 Å, I 51; 2θ 25.50, d = 3.493 Å, I 51; 2θ 25.68, d = 3.469 Å, I 47; 2θ 34.05, d = 2.633 Å, I 74; 2θ 38.57, d = 2.334 Å, I 100; 2θ 45.17, d = 2.007 Å, I 25; 2θ 46.92, d = 1.937 Å, I 58; 2θ 52.39, d = 1.747 Å, I 22; 2θ 66.91, d = 1.398 Å, I 21; 2θ 67.25, d = 1.392 Å, I 18; 2θ 69.79, d = 1.348 Å, I 18; 2θ 75.71, d = 1.256 Å, I 15